The following is a simulated powder diffractogram of NaFeN. It was derived from a cell relaxed with PBE, using Cu Kα (λ = 1.5418 Å).
No peak broadening, texture or thermal motion is included.

Cell and atoms:
a b c (Å): 3.5168 4.3633 4.3633
angles (deg): 59.54 90.00 90.00
Positions (direct):
1 Na 0.0000 0.0000 0.0000
2 Fe 0.5000 0.6673 0.6673
3 N 0.0000 0.6672 0.6672

Peak list (10 most intense, 5° ≤ 2θ ≤ 70°, sorted by position)
- 23.5 deg, d = 3.787 Å, I = 50.5
- 23.7 deg, d = 3.761 Å, I = 100.0
- 34.8 deg, d = 2.577 Å, I = 31.8
- 34.9 deg, d = 2.569 Å, I = 62.5
- 41.4 deg, d = 2.182 Å, I = 46.7
- 41.7 deg, d = 2.167 Å, I = 22.8
- 48.4 deg, d = 1.881 Å, I = 12.0
- 55.4 deg, d = 1.658 Å, I = 16.1
- 57.9 deg, d = 1.594 Å, I = 19.7
- 68.5 deg, d = 1.369 Å, I = 17.2

=====

The following is a simulated powder diffractogram of NdTiFe11N. It was derived from a cell relaxed with PBE, using Cu Kα (λ = 1.5418 Å).
No peak broadening, texture or thermal motion is included.

Cell and atoms:
a b c (Å): 6.5362 6.5362 6.5362
angles (deg): 135.94 97.73 98.45
Positions (direct):
1 Nd 0.0000 0.0000 0.0000
2 Ti 0.6276 0.6276 0.0000
3 Fe 0.2140 0.4909 0.7231
4 Fe 0.2200 0.7200 0.5000
5 Fe 0.3530 0.3530 0.0000
6 Fe 0.3544 0.9936 0.3608
7 Fe 0.4923 0.4937 0.4973
8 Fe 0.4923 0.9950 0.9986
9 Fe 0.6328 0.9936 0.6392
10 Fe 0.7679 0.4909 0.2769
11 Fe 0.7700 0.2700 0.5000
12 Fe 0.9964 0.4937 0.0014
13 Fe 0.9964 0.9950 0.5027
14 N 0.9947 0.4947 0.5000

Peak list (10 most intense, 5° ≤ 2θ ≤ 70°, sorted by position)
- 29.5 deg, d = 3.025 Å, I = 25.2
- 36.3 deg, d = 2.475 Å, I = 21.4
- 36.5 deg, d = 2.461 Å, I = 20.5
- 36.7 deg, d = 2.452 Å, I = 19.5
- 42.0 deg, d = 2.150 Å, I = 32.1
- 42.3 deg, d = 2.139 Å, I = 100.0
- 42.4 deg, d = 2.132 Å, I = 74.9
- 42.5 deg, d = 2.126 Å, I = 43.2
- 47.7 deg, d = 1.906 Å, I = 27.3
- 69.8 deg, d = 1.347 Å, I = 20.9

=====

The following is a simulated powder diffractogram of FeNi3N3. It was derived from a cell relaxed with PBE, using Cu Kα (λ = 1.5418 Å).
No peak broadening, texture or thermal motion is included.

Cell and atoms:
a b c (Å): 6.8081 6.8081 3.7299
angles (deg): 90.00 90.00 120.29
Positions (direct):
1 Fe 0.1651 0.8349 0.7500
2 Fe 0.8349 0.1651 0.2500
3 Ni 0.2079 0.3559 0.7500
4 Ni 0.3500 0.6500 0.2500
5 Ni 0.3559 0.2079 0.2500
6 Ni 0.6441 0.7921 0.7500
7 Ni 0.6500 0.3500 0.7500
8 Ni 0.7921 0.6441 0.2500
9 N 0.1323 0.3150 0.2500
10 N 0.3138 0.6862 0.7500
11 N 0.3150 0.1323 0.7500
12 N 0.6850 0.8677 0.2500
13 N 0.6862 0.3138 0.2500
14 N 0.8677 0.6850 0.7500

Peak list (10 most intense, 5° ≤ 2θ ≤ 70°, sorted by position)
- 15.1 deg, d = 5.887 Å, I = 27.2
- 30.3 deg, d = 2.952 Å, I = 31.6
- 30.4 deg, d = 2.939 Å, I = 63.1
- 38.9 deg, d = 2.315 Å, I = 51.9
- 39.0 deg, d = 2.309 Å, I = 100.0
- 48.8 deg, d = 1.865 Å, I = 33.5
- 52.8 deg, d = 1.735 Å, I = 14.0
- 53.9 deg, d = 1.702 Å, I = 37.2
- 54.1 deg, d = 1.695 Å, I = 17.0
- 58.6 deg, d = 1.575 Å, I = 24.6

=====

The following is a simulated powder diffractogram of Fe10NiN8. It was derived from a cell relaxed with PBE, using Cu Kα (λ = 1.5418 Å).
No peak broadening, texture or thermal motion is included.

Cell and atoms:
a b c (Å): 7.7053 7.7053 6.3599
angles (deg): 105.36 105.36 28.81
Positions (direct):
1 Fe 0.0210 0.0210 0.2162
2 Fe 0.1560 0.1560 0.7085
3 Fe 0.2138 0.2138 0.1723
4 Fe 0.3310 0.3310 0.5431
5 Fe 0.4137 0.4137 0.0059
6 Fe 0.5863 0.5863 0.9941
7 Fe 0.6690 0.6690 0.4569
8 Fe 0.7862 0.7862 0.8277
9 Fe 0.8440 0.8440 0.2915
10 Fe 0.9790 0.9790 0.7838
11 Ni 0.5000 0.5000 0.5000
12 N 0.1052 0.1052 0.9575
13 N 0.1915 0.1915 0.4389
14 N 0.3433 0.3433 0.2529
15 N 0.4542 0.4542 0.7463
16 N 0.5458 0.5458 0.2537
17 N 0.6567 0.6567 0.7471
18 N 0.8085 0.8085 0.5611
19 N 0.8948 0.8948 0.0425

Peak list (10 most intense, 5° ≤ 2θ ≤ 70°, sorted by position)
- 37.6 deg, d = 2.393 Å, I = 13.9
- 38.7 deg, d = 2.325 Å, I = 83.2
- 39.2 deg, d = 2.298 Å, I = 13.8
- 39.5 deg, d = 2.281 Å, I = 100.0
- 43.8 deg, d = 2.067 Å, I = 12.0
- 44.3 deg, d = 2.047 Å, I = 52.8
- 44.7 deg, d = 2.027 Å, I = 40.7
- 47.4 deg, d = 1.917 Å, I = 61.3
- 66.9 deg, d = 1.399 Å, I = 26.5
- 67.2 deg, d = 1.393 Å, I = 20.6